Structure and calculated powder XRD pattern of K2GePbSe4 (a PBE-relaxed structure; CuKα).
Intensities are scaled so that the largest is 100.

The 12 most intense peaks (2θ from 10° to 80°), most intense first:
| Position (°2θ) | d_spacing | intensity | hkl |
| --- | --- | --- | --- |
| 20.41 | 4.352 | 100 | 2 1 0 |
| 26.75 | 3.333 | 80 | 0 0 2 |
| 16.60 | 5.339 | 71 | 0 1 1 |
| 35.14 | 2.554 | 62 | 2 3 0 |
| 44.71 | 2.027 | 49 | 2 3 2 |
| 30.04 | 2.975 | 47 | 3 0 1 |
| 33.88 | 2.646 | 39 | 2 1 2 |
| 19.91 | 4.460 | 37 | 0 2 0 |
| 36.03 | 2.493 | 33 | 4 0 0 |
| 17.79 | 4.985 | 28 | 2 0 0 |
| 45.44 | 1.996 | 25 | 4 0 2 |
| 46.65 | 1.947 | 23 | 2 4 1 |

Structure:
Lattice parameters (Å, degrees): 9.9705 8.9201 6.6653 90.00 90.00 90.00
Atoms (fractional coordinates):
K: 0.2415 0.1675 0.0000
K: 0.2585 0.8325 0.5000
K: 0.7415 0.8325 0.5000
K: 0.7585 0.1675 0.0000
Ge: 0.0000 0.6602 0.0669
Ge: 0.5000 0.3398 0.5669
Pb: 0.0000 0.3367 0.5234
Pb: 0.5000 0.6633 0.0234
Se: 0.0000 0.4053 0.9442
Se: 0.0000 0.6355 0.4274
Se: 0.2014 0.7936 0.9898
Se: 0.2986 0.2064 0.4898
Se: 0.5000 0.3645 0.9274
Se: 0.5000 0.5947 0.4442
Se: 0.7014 0.2064 0.4898
Se: 0.7986 0.7936 0.9898


Structure and calculated powder XRD pattern of KLiSbTe3 (a PBE-relaxed structure; CuKα).
Intensities are scaled so that the largest is 100.

The 12 most intense peaks (2θ from 10° to 80°), most intense first:
| Position (°2θ) | d_spacing | intensity | hkl |
| --- | --- | --- | --- |
| 26.39 | 3.377 | 100 | 2 1 -1 |
| 10.39 | 8.515 | 69 | 1 0 -1 |
| 29.38 | 3.040 | 51 | 0 0 3 |
| 33.56 | 2.670 | 33 | 3 1 -1 |
| 39.22 | 2.297 | 31 | 2 1 2 |
| 38.93 | 2.314 | 27 | 0 2 0 |
| 40.58 | 2.223 | 26 | 2 1 -4 |
| 49.51 | 1.841 | 24 | 0 2 3 |
| 27.87 | 3.201 | 18 | 2 1 0 |
| 25.61 | 3.478 | 17 | 1 0 2 |
| 37.22 | 2.416 | 16 | 4 0 -1 |
| 21.66 | 4.102 | 14 | 1 1 0 |

Structure:
Lattice parameters (Å, degrees): 9.8899 4.6271 10.1702 90.00 116.28 90.00
Atoms (fractional coordinates):
K: 0.2264 0.2500 0.2359
K: 0.7736 0.7500 0.7641
Li: 0.1051 0.2500 0.5640
Li: 0.8949 0.7500 0.4360
Sb: 0.3210 0.7500 0.8356
Sb: 0.6790 0.2500 0.1644
Te: 0.1043 0.2500 0.8368
Te: 0.1976 0.7500 0.4942
Te: 0.4742 0.7500 0.1682
Te: 0.5258 0.2500 0.8318
Te: 0.8024 0.2500 0.5058
Te: 0.8957 0.7500 0.1632


Structure and calculated powder XRD pattern of TbPm3Dy4 (a PBE-relaxed structure; CuKα).
Intensities are scaled so that the largest is 100.

The 12 most intense peaks (2θ from 10° to 80°), most intense first:
| Position (°2θ) | d_spacing | intensity | hkl |
| --- | --- | --- | --- |
| 32.36 | 2.766 | 100 | 2 2 1 |
| 31.22 | 2.865 | 24 | 4 0 0 |
| 28.25 | 3.159 | 24 | 0 0 2 |
| 56.28 | 1.635 | 21 | 6 2 1 |
| 42.60 | 2.122 | 16 | 4 0 2 |
| 60.18 | 1.538 | 15 | 4 2 3 |
| 50.06 | 1.822 | 13 | 0 2 3 |
| 60.78 | 1.524 | 11 | 2 4 2 |
| 60.06 | 1.541 | 8 | 4 4 0 |
| 49.91 | 1.827 | 7 | 0 4 0 |
| 60.95 | 1.520 | 5 | 2 0 4 |
| 78.54 | 1.218 | 5 | 6 4 2 |

Structure:
Lattice parameters (Å, degrees): 11.4613 7.3083 6.3064 90.00 90.00 90.00
Atoms (fractional coordinates):
Tb: 0.0000 0.1281 0.0000
Tb: 0.5000 0.8719 0.5000
Pm: 0.0000 0.8733 0.5007
Pm: 0.2499 0.1263 0.3345
Pm: 0.2501 0.8737 0.8345
Pm: 0.5000 0.1267 0.0007
Pm: 0.7501 0.1263 0.3345
Pm: 0.7499 0.8737 0.8345
Dy: 0.0000 0.3778 0.5007
Dy: 0.0000 0.6233 0.0010
Dy: 0.2489 0.3772 0.8341
Dy: 0.2511 0.6228 0.3341
Dy: 0.5000 0.3767 0.5010
Dy: 0.5000 0.6222 0.0007
Dy: 0.7489 0.6228 0.3341
Dy: 0.7511 0.3772 0.8341